1.
Computed X-ray powder pattern of Pm14TmPu for Cu Kα (weighted mean of Kα1 and Kα2), from a crystal structure in Alexandria, relaxed with GGA-PBE.

Atomic structure:
```
data_Pm14TmPu
_space_group_name_H-M_alt 'P 4/m m m'
_space_group_IT_number 123
_space_group_name_Hall '-P 4 2'
_cell_length_a 7.257
_cell_length_b 7.257
_cell_length_c 10.222
_cell_angle_alpha 90.00
_cell_angle_beta 90.00
_cell_angle_gamma 90.00
loop_
_atom_site_label
_atom_site_type_symbol
_atom_site_fract_x
_atom_site_fract_y
_atom_site_fract_z
Pm1 Pm 0.000 0.000 0.000
Pm2 Pm 0.000 0.500 0.000
Pm3 Pm 0.000 0.500 0.500
Pm4 Pm 0.249 0.249 0.254
Pm5 Pm 0.500 0.500 0.000
Tm1 Tm 0.500 0.500 0.500
Pu1 Pu 0.000 0.000 0.500
```

Most intense lines, 2θ from 10° to 90°, in order of rising 2θ:
2theta  intensity  index
30.2  100  2 0 2
35.0  34  2 2 0
35.1  17  0 0 4
50.3  12  4 0 0
50.4  24  2 2 4
59.8  29  4 2 2
60.0  14  2 0 6
62.8  12  4 0 4
82.0  12  4 2 6
84.5  11  6 2 0



2.
Computed X-ray powder pattern of Pm12Y7Pu for Cu Kα (weighted mean of Kα1 and Kα2), from a crystal structure in Alexandria, relaxed with GGA-PBE.

Atomic structure:
```
data_Pm12Y7Pu
_space_group_name_H-M_alt 'I m -3 m'
_space_group_IT_number 229
_space_group_name_Hall '-I 4 2 3'
_cell_length_a 11.533
_cell_length_b 11.533
_cell_length_c 11.533
_cell_angle_alpha 90.00
_cell_angle_beta 90.00
_cell_angle_gamma 90.00
loop_
_atom_site_label
_atom_site_type_symbol
_atom_site_fract_x
_atom_site_fract_y
_atom_site_fract_z
Pm1 Pm 0.000 0.248 0.248
Y1 Y 0.000 0.000 0.500
Y2 Y 0.250 0.250 0.250
Pu1 Pu 0.000 0.000 0.000
```

Most intense lines, 2θ from 10° to 90°, in order of rising 2θ:
2theta  intensity  index
15.4  16  2 0 0
26.8  100  2 2 2
31.0  98  4 0 0
44.4  73  4 4 0
52.6  47  6 2 2
55.2  26  4 4 4
71.3  19  6 6 2
73.4  32  8 4 0
81.8  24  8 4 4
88.0  15  10 2 2



3.
Computed X-ray powder pattern of Pm6Y2Pu for Cu Kα (weighted mean of Kα1 and Kα2), from a crystal structure in Alexandria, relaxed with GGA-PBE.

Atomic structure:
```
data_Pm6Y2Pu
_space_group_name_H-M_alt 'P 1 21/c 1'
_space_group_IT_number 14
_space_group_name_Hall '-P 2ybc'
_cell_length_a 6.525
_cell_length_b 8.155
_cell_length_c 12.945
_cell_angle_alpha 90.00
_cell_angle_beta 118.70
_cell_angle_gamma 90.00
loop_
_atom_site_label
_atom_site_type_symbol
_atom_site_fract_x
_atom_site_fract_y
_atom_site_fract_z
Pm1 Pm 0.009 0.087 0.242
Pm2 Pm 0.110 0.696 0.012
Pm3 Pm 0.375 0.148 0.016
Y1 Y 0.462 0.117 0.749
Pu1 Pu 0.500 0.000 0.500
```

Most intense lines, 2θ from 10° to 90°, in order of rising 2θ:
2theta  intensity  index
15.6  38  0 0 2
26.9  36  1 0 2
27.1  47  1 2 -2
29.5  33  2 1 -2
30.1  80  1 2 1
30.5  82  1 2 -3
31.3  36  2 0 0
31.5  100  0 0 4
33.2  33  2 1 0
35.8  36  1 3 -1